# ZrSc2SnAu
Simulated powder X-ray diffraction pattern, Cu Kα (weighted mean of Kα1 and Kα2). Input: a DFT-relaxed cell (PBE, Alexandria).

The 12 most intense peaks (2θ from 5° to 70°), sorted by position:
d (Å)  intensity
3.740  98.9
3.704  99.5
3.044  80.8
2.671  52.8
2.619  100.0
2.167  49.0
2.146  46.9
1.870  73.4
1.852  35.6
1.657  21.9
1.522  37.3
1.408  26.0

Structural model:
a = 5.239 Å, b = 5.239 Å, c = 5.342 Å
α = 90.00°, β = 90.00°, γ = 90.00°
Sites, in units of the cell vectors:
1 Zr 0.000 0.000 0.000
2 Sc 0.000 0.500 0.500
3 Sc 0.500 0.000 0.500
4 Sn 0.000 0.000 0.500
5 Au 0.500 0.500 0.000



# Sr3LiPb4
Simulated powder X-ray diffraction pattern, Cu Kα (weighted mean of Kα1 and Kα2). Input: a DFT-relaxed cell (PBE, Alexandria).

The 12 most intense peaks (2θ from 5° to 70°), sorted by position:
d (Å)  intensity
4.323  14.1
3.821  35.4
3.185  27.2
2.863  100.0
2.702  59.4
2.470  14.2
2.291  11.7
1.911  21.9
1.823  23.1
1.589  35.2
1.511  12.7
1.454  17.6

Structural model:
a = 3.821 Å, b = 3.821 Å, c = 17.293 Å
α = 90.00°, β = 90.00°, γ = 90.00°
Sites, in units of the cell vectors:
1 Sr 0.000 0.000 0.000
2 Sr 0.000 0.000 0.270
3 Sr 0.000 0.000 0.730
4 Li 0.000 0.000 0.500
5 Pb 0.500 0.500 0.137
6 Pb 0.500 0.500 0.407
7 Pb 0.500 0.500 0.593
8 Pb 0.500 0.500 0.863



# Ca2CuGe4Rh3
Simulated powder X-ray diffraction pattern, Cu Kα (weighted mean of Kα1 and Kα2). Input: a DFT-relaxed cell (PBE, Alexandria).

The 12 most intense peaks (2θ from 5° to 70°), sorted by position:
d (Å)  intensity
4.979  40.4
3.947  53.7
2.628  66.9
2.595  100.0
2.150  98.8
1.974  14.3
1.926  86.8
1.888  14.5
1.807  24.6
1.664  32.1
1.520  31.9
1.383  19.2

Structural model:
a = 4.300 Å, b = 4.300 Å, c = 9.959 Å
α = 90.00°, β = 90.00°, γ = 90.00°
Sites, in units of the cell vectors:
1 Ca 0.000 0.500 0.250
2 Ca 0.500 0.000 0.750
3 Cu 0.000 0.000 0.500
4 Ge 0.000 0.000 0.000
5 Ge 0.000 0.500 0.625
6 Ge 0.500 0.000 0.375
7 Ge 0.500 0.500 0.000
8 Rh 0.000 0.500 0.873
9 Rh 0.500 0.000 0.127
10 Rh 0.500 0.500 0.500



# Nd4SmTm8
Simulated powder X-ray diffraction pattern, Cu Kα (weighted mean of Kα1 and Kα2). Input: a DFT-relaxed cell (PBE, Alexandria).

The 12 most intense peaks (2θ from 5° to 70°), sorted by position:
d (Å)  intensity
5.498  3.2
4.489  10.2
3.888  10.5
3.477  4.9
2.749  100.0
2.344  5.6
2.245  3.1
1.944  18.0
1.886  2.7
1.739  3.9
1.587  36.9
1.375  11.2

Structural model:
a = 7.775 Å, b = 7.775 Å, c = 7.775 Å
α = 90.00°, β = 90.00°, γ = 90.00°
Sites, in units of the cell vectors:
1 Nd 0.000 0.000 0.000
2 Nd 0.000 0.500 0.500
3 Nd 0.500 0.000 0.500
4 Nd 0.500 0.500 0.000
5 Sm 0.500 0.500 0.500
6 Tm 0.240 0.240 0.240
7 Tm 0.240 0.240 0.760
8 Tm 0.240 0.760 0.240
9 Tm 0.240 0.760 0.760
10 Tm 0.760 0.240 0.240
11 Tm 0.760 0.240 0.760
12 Tm 0.760 0.760 0.240
13 Tm 0.760 0.760 0.760



# NaCaCeBiO6
Simulated powder X-ray diffraction pattern, Cu Kα (weighted mean of Kα1 and Kα2). Input: a DFT-relaxed cell (PBE, Alexandria).

The 12 most intense peaks (2θ from 5° to 70°), sorted by position:
d (Å)  intensity
4.312  45.0
4.175  75.9
3.000  100.0
2.952  60.4
2.436  19.0
2.156  18.9
2.088  29.3
1.916  20.2
1.867  22.5
1.741  26.2
1.713  49.3
1.500  19.5

Structural model:
a = 5.905 Å, b = 5.905 Å, c = 8.624 Å
α = 90.00°, β = 90.00°, γ = 90.00°
Sites, in units of the cell vectors:
1 Na 0.000 0.500 0.250
2 Na 0.500 0.000 0.750
3 Ca 0.000 0.500 0.750
4 Ca 0.500 0.000 0.250
5 Ce 0.000 0.000 0.000
6 Ce 0.500 0.500 0.500
7 Bi 0.000 0.000 0.500
8 Bi 0.500 0.500 0.000
9 O 0.000 0.000 0.254
10 O 0.000 0.000 0.746
11 O 0.167 0.320 0.516
12 O 0.180 0.333 0.984
13 O 0.320 0.833 0.484
14 O 0.333 0.820 0.016
15 O 0.500 0.500 0.246
16 O 0.500 0.500 0.754
17 O 0.667 0.180 0.016
18 O 0.680 0.167 0.484
19 O 0.820 0.667 0.984
20 O 0.833 0.680 0.516



# Na3Pu3InTe8
Simulated powder X-ray diffraction pattern, Cu Kα (weighted mean of Kα1 and Kα2). Input: a DFT-relaxed cell (PBE, Alexandria).

The 12 most intense peaks (2θ from 5° to 70°), sorted by position:
d (Å)  intensity
7.498  51.5
3.794  21.6
3.176  100.0
2.467  15.3
2.270  38.0
2.222  37.9
2.130  14.4
1.821  20.3
1.806  8.0
1.588  12.5
1.433  16.4
1.408  17.5

Structural model:
a = 9.086 Å, b = 9.086 Å, c = 9.086 Å
α = 58.57°, β = 58.57°, γ = 58.57°
Sites, in units of the cell vectors:
1 Na 0.000 0.500 0.500
2 Na 0.500 0.000 0.500
3 Na 0.500 0.500 0.000
4 Pu 0.000 0.000 0.500
5 Pu 0.000 0.500 0.000
6 Pu 0.500 0.000 0.000
7 In 0.500 0.500 0.500
8 Te 0.244 0.244 0.244
9 Te 0.245 0.742 0.742
10 Te 0.258 0.258 0.755
11 Te 0.258 0.755 0.258
12 Te 0.742 0.245 0.742
13 Te 0.742 0.742 0.245
14 Te 0.755 0.258 0.258
15 Te 0.756 0.756 0.756